Starting from a PBE-relaxed structure, the X-ray diffraction stick pattern of Sr2TaGaO6 was computed for Cu Kα X-rays.
Neutral-atom scattering factors, no anomalous dispersion.

Cell and atoms:
```
10
Lattice="-2.810 2.810 4.011 2.810 -2.810 4.011 2.810 2.810 -4.011" Properties=species:S:1:pos:R:3 pbc="T T T"
Sr 2.810 0.000 2.005
Sr 0.000 2.810 2.005
Ta 0.000 0.000 0.000
Ga 0.000 0.000 4.011
O 4.039 1.222 0.000
O 0.000 0.000 1.999
O 1.222 1.581 0.000
O 1.588 1.229 4.011
O 0.000 0.000 6.023
O -1.229 1.588 4.011
```

Peak list (10 most intense, 10 to 80 degrees two-theta, low angle first)
two_theta  intensity
19.28  24
31.70  100
31.85  51
37.50  10
45.21  16
45.66  31
56.36  21
56.65  41
66.21  19
75.65  17

***

Starting from a PBE-relaxed structure, the X-ray diffraction stick pattern of TiSn4O10 was computed for Cu Kα X-rays.
Neutral-atom scattering factors, no anomalous dispersion.

Cell and atoms:
```
30
Lattice="4.797 0.000 0.000 0.007 5.761 0.000 0.010 2.665 13.290" Properties=species:S:1:pos:R:3 pbc="T T T"
Ti 4.798 1.112 2.637
Ti 0.017 7.313 10.652
Sn 0.010 3.311 7.995
Sn 0.003 2.880 0.000
Sn 4.805 5.114 5.294
Sn 2.402 6.219 8.009
Sn 2.399 0.000 0.000
Sn 2.411 4.433 10.639
Sn 2.404 3.993 2.651
Sn 2.412 2.207 5.280
O 0.915 1.027 4.408
O 0.922 3.142 9.885
O 0.915 2.706 1.890
O 0.924 7.231 12.407
O 0.936 4.992 7.168
O 1.423 6.101 9.851
O 1.421 5.651 1.839
O 1.475 2.107 7.156
O 1.501 4.357 12.501
O 1.495 3.906 4.504
O 3.320 4.519 8.786
O 3.314 4.068 0.788
O 3.339 6.318 6.134
O 3.394 2.774 11.451
O 3.392 2.324 3.439
O 3.879 3.434 6.121
O 3.890 1.195 0.882
O 3.899 5.720 11.400
O 3.893 5.284 3.405
O 3.900 7.398 8.881
```

Peak list (10 most intense, 10 to 80 degrees two-theta, low angle first)
two_theta  intensity
26.28  100
33.71  78
37.51  22
51.31  69
54.05  9
54.13  9
61.13  12
64.50  12
65.27  21
77.75  9

***

Starting from a PBE-relaxed structure, the X-ray diffraction stick pattern of CeSe2 was computed for Cu Kα X-rays.
Neutral-atom scattering factors, no anomalous dispersion.

Cell and atoms:
```
12
Lattice="5.574 -6.809 0.000 5.574 6.809 0.000 -1.612 0.000 8.930" Properties=species:S:1:pos:R:3 pbc="T T T"
Ce 4.768 6.265 4.465
Ce 4.053 1.160 5.211
Ce 4.859 -1.160 0.745
Ce 5.574 -6.265 0.000
Se 1.368 1.067 4.707
Se 2.174 -1.067 0.241
Se 5.200 3.598 4.807
Se 4.390 0.490 7.829
Se 5.196 -0.490 3.364
Se 6.006 -3.598 0.342
Se 8.563 0.192 6.404
Se 9.369 -0.192 1.939
```

Peak list (10 most intense, 10 to 80 degrees two-theta, low angle first)
two_theta  intensity
13.00  100
13.31  55
15.31  33
16.16  73
19.88  40
20.80  24
21.15  25
22.80  25
31.62  23
40.30  33